Entry 1:
Calculated XRD peak list of NaAuBr3 for Cu Kα, 1.54184 Å, from DFT lattice parameters and positions (PBE).

Atomic structure:
```
NaAuBr3
1.0
5.945 -3.772 0.000
5.945 3.772 0.000
-3.139 0.000 6.927
Na Au Br
2 2 6
Direct
0.215 0.215 0.181 Na
0.785 0.785 0.819 Na
0.000 0.000 0.500 Au
0.500 0.500 0.000 Au
0.194 0.665 0.165 Br
0.222 0.222 0.570 Br
0.335 0.806 0.835 Br
0.665 0.194 0.165 Br
0.778 0.778 0.430 Br
0.806 0.335 0.835 Br
```

Principal peaks in the range 10° ≤ 2θ ≤ 90°, by intensity:
two_theta	d [Å]	intensity
16.8	5.276	100.0
21.4	4.155	50.5
34.0	2.638	45.9
16.4	5.415	43.7
35.2	2.551	33.0
24.7	3.605	21.8
41.0	2.200	20.8
38.3	2.353	20.8
40.5	2.225	20.5
45.6	1.988	16.9
25.5	3.490	15.5
26.9	3.313	14.8

Entry 2:
Calculated XRD peak list of AuBrO6 for Cu Kα, 1.54184 Å, from DFT lattice parameters and positions (PBE).

Atomic structure:
```
AuBrO6
1.0
0.000 3.668 3.668
3.668 0.000 3.668
3.668 3.668 0.000
Au Br O
1 1 6
Direct
0.000 0.000 0.000 Au
0.750 0.750 0.750 Br
0.267 0.267 0.733 O
0.267 0.733 0.267 O
0.267 0.733 0.733 O
0.733 0.267 0.267 O
0.733 0.267 0.733 O
0.733 0.733 0.267 O
```

Principal peaks in the range 10° ≤ 2θ ≤ 90°, by intensity:
two_theta	d [Å]	intensity
21.0	4.236	100.0
34.6	2.594	64.5
40.8	2.212	63.2
54.5	1.683	29.9
24.3	3.668	29.2
49.7	1.834	25.0
62.0	1.498	25.0
66.2	1.412	18.7
76.9	1.240	18.6
72.9	1.297	14.6
83.3	1.160	12.2
56.1	1.640	11.1

Entry 3:
Calculated XRD peak list of RbAuBr4 for Cu Kα, 1.54184 Å, from DFT lattice parameters and positions (PBE).

Atomic structure:
```
RbAuBr4
1.0
7.498 0.000 0.000
0.000 6.203 0.000
-5.479 0.000 8.836
Rb Au Br
2 2 8
Direct
0.000 0.000 0.000 Rb
0.000 0.500 0.500 Rb
0.500 0.000 0.500 Au
0.500 0.500 0.000 Au
0.116 0.017 0.380 Br
0.116 0.483 0.880 Br
0.458 0.700 0.328 Br
0.458 0.800 0.828 Br
0.542 0.200 0.172 Br
0.542 0.300 0.672 Br
0.884 0.517 0.120 Br
0.884 0.983 0.620 Br
```

Principal peaks in the range 10° ≤ 2θ ≤ 90°, by intensity:
two_theta	d [Å]	intensity
29.6	3.019	100.0
17.4	5.083	77.6
18.8	4.730	66.0
28.0	3.186	46.6
35.4	2.539	37.1
40.8	2.212	26.9
52.4	1.745	25.7
39.7	2.268	24.7
13.9	6.372	24.3
42.6	2.123	23.9
58.6	1.575	21.4
22.6	3.940	21.3

Entry 4:
Calculated XRD peak list of AuSeBr6 for Cu Kα, 1.54184 Å, from DFT lattice parameters and positions (PBE).

Atomic structure:
```
AuSeBr6
1.0
0.000 5.021 5.021
5.021 0.000 5.021
5.021 5.021 0.000
Au Se Br
1 1 6
Direct
0.000 0.000 0.000 Au
0.750 0.750 0.750 Se
0.005 0.005 0.495 Br
0.005 0.495 0.005 Br
0.005 0.495 0.495 Br
0.495 0.005 0.005 Br
0.495 0.005 0.495 Br
0.495 0.495 0.005 Br
```

Principal peaks in the range 10° ≤ 2θ ≤ 90°, by intensity:
two_theta	d [Å]	intensity
30.8	2.899	100.0
35.8	2.510	79.9
15.3	5.798	60.3
51.5	1.775	55.4
29.5	3.028	41.6
61.2	1.514	41.1
86.7	1.123	25.7
39.1	2.304	21.3
64.3	1.449	18.8
84.0	1.152	17.3
47.0	1.933	15.1
54.0	1.697	14.7

Entry 5:
Calculated XRD peak list of YTl2AuBr6 for Cu Kα, 1.54184 Å, from DFT lattice parameters and positions (PBE).

Atomic structure:
```
YTl2AuBr6
1.0
0.000 5.555 5.555
5.555 0.000 5.555
5.555 5.555 0.000
Y Tl Au Br
1 2 1 6
Direct
0.000 0.000 0.000 Y
0.250 0.250 0.250 Tl
0.750 0.750 0.750 Tl
0.500 0.500 0.500 Au
0.249 0.249 0.751 Br
0.249 0.751 0.249 Br
0.249 0.751 0.751 Br
0.751 0.249 0.249 Br
0.751 0.249 0.751 Br
0.751 0.751 0.249 Br
```

Principal peaks in the range 10° ≤ 2θ ≤ 90°, by intensity:
two_theta	d [Å]	intensity
32.2	2.777	100.0
22.6	3.928	93.4
46.2	1.964	73.1
27.8	3.207	51.3
39.7	2.268	44.9
76.7	1.242	32.9
85.7	1.134	25.5
57.5	1.604	25.4
62.6	1.485	24.3
54.8	1.675	22.7
52.1	1.757	21.0
72.1	1.309	12.0

Entry 6:
Calculated XRD peak list of Tl2ZnAuBr6 for Cu Kα, 1.54184 Å, from DFT lattice parameters and positions (PBE).

Atomic structure:
```
Tl2ZnAuBr6
1.0
0.000 5.338 5.338
5.338 0.000 5.338
5.338 5.338 0.000
Tl Zn Au Br
2 1 1 6
Direct
0.250 0.250 0.250 Tl
0.750 0.750 0.750 Tl
0.000 0.000 0.000 Zn
0.500 0.500 0.500 Au
0.245 0.245 0.755 Br
0.245 0.755 0.245 Br
0.245 0.755 0.755 Br
0.755 0.245 0.245 Br
0.755 0.245 0.755 Br
0.755 0.755 0.245 Br
```

Principal peaks in the range 10° ≤ 2θ ≤ 90°, by intensity:
two_theta	d [Å]	intensity
33.6	2.669	100.0
23.6	3.775	90.7
48.2	1.887	71.9
29.0	3.082	56.6
41.4	2.179	43.0
80.5	1.194	32.3
60.0	1.541	24.8
57.2	1.610	24.3
65.4	1.427	23.0
54.3	1.688	20.0
70.6	1.335	11.5
75.6	1.258	11.3

Entry 7:
Calculated XRD peak list of Au14C for Cu Kα, 1.54184 Å, from DFT lattice parameters and positions (PBE).

Atomic structure:
```
Au14C
1.0
4.241 2.449 4.663
-4.241 2.449 4.663
0.000 -4.897 4.663
Au C
14 1
Direct
0.142 0.142 0.142 Au
0.177 0.500 0.823 Au
0.177 0.823 0.500 Au
0.218 0.218 0.556 Au
0.218 0.556 0.218 Au
0.444 0.782 0.782 Au
0.500 0.177 0.823 Au
0.500 0.823 0.177 Au
0.556 0.218 0.218 Au
0.782 0.444 0.782 Au
0.782 0.782 0.444 Au
0.823 0.177 0.500 Au
0.823 0.500 0.177 Au
0.858 0.858 0.858 Au
0.000 0.000 0.000 C
```

Principal peaks in the range 10° ≤ 2θ ≤ 90°, by intensity:
two_theta	d [Å]	intensity
41.7	2.168	100.0
32.9	2.723	39.6
38.6	2.332	31.5
79.2	1.209	23.6
66.1	1.414	21.8
81.2	1.184	17.4
36.7	2.449	15.5
71.9	1.312	15.2
35.4	2.533	14.5
34.8	2.581	12.6
27.4	3.252	11.3
56.8	1.622	11.0

Entry 8:
Calculated XRD peak list of Au5C for Cu Kα, 1.54184 Å, from DFT lattice parameters and positions (PBE).

Atomic structure:
```
Au5C
1.0
5.413 0.000 0.000
-2.707 4.688 0.000
0.000 0.000 4.770
Au C
5 1
Direct
0.000 0.500 0.000 Au
0.333 0.667 0.500 Au
0.500 0.000 0.000 Au
0.500 0.500 0.000 Au
0.667 0.333 0.500 Au
0.000 0.000 0.500 C
```

Principal peaks in the range 10° ≤ 2θ ≤ 90°, by intensity:
two_theta	d [Å]	intensity
43.0	2.104	100.0
18.9	4.688	93.4
38.2	2.354	82.5
37.7	2.385	39.1
81.8	1.177	26.3
42.5	2.126	25.2
71.7	1.316	22.6
69.5	1.353	20.0
62.5	1.485	19.7
38.4	2.344	18.4
68.4	1.371	15.2
85.3	1.138	14.9

Entry 9:
Calculated XRD peak list of AuC2 for Cu Kα, 1.54184 Å, from DFT lattice parameters and positions (PBE).

Atomic structure:
```
AuC2
1.0
-2.025 2.025 2.646
2.025 -2.025 2.646
2.025 2.025 -2.646
Au C
1 2
Direct
0.000 0.000 0.000 Au
0.381 0.381 0.000 C
0.619 0.619 0.000 C
```

Principal peaks in the range 10° ≤ 2θ ≤ 90°, by intensity:
two_theta	d [Å]	intensity
27.7	3.216	100.0
31.2	2.864	55.2
53.5	1.714	35.4
46.7	1.943	30.2
44.8	2.025	20.2
56.9	1.617	18.4
33.9	2.646	18.3
57.3	1.608	16.6
75.2	1.264	16.5
83.9	1.153	11.7
89.1	1.099	9.3
74.0	1.281	9.0

Entry 10:
Calculated XRD peak list of Au4C3 for Cu Kα, 1.54184 Å, from DFT lattice parameters and positions (PBE).

Atomic structure:
```
Au4C3
1.0
1.648 0.951 10.165
-1.648 0.951 10.165
0.000 -1.902 10.165
Au C
4 3
Direct
0.132 0.132 0.132 Au
0.289 0.289 0.289 Au
0.711 0.711 0.711 Au
0.868 0.868 0.868 Au
0.000 0.000 0.000 C
0.423 0.423 0.423 C
0.577 0.577 0.577 C
```

Principal peaks in the range 10° ≤ 2θ ≤ 90°, by intensity:
two_theta	d [Å]	intensity
37.7	2.387	100.0
34.7	2.585	65.8
55.8	1.648	36.5
31.9	2.805	33.6
35.3	2.541	33.1
67.8	1.382	31.3
52.9	1.731	25.0
66.9	1.399	18.9
69.3	1.356	16.9
67.4	1.389	10.1
80.5	1.194	7.6
31.5	2.841	7.2

Copy entry 5 word for word.
Calculated XRD peak list of YTl2AuBr6 for Cu Kα, 1.54184 Å, from DFT lattice parameters and positions (PBE).

Atomic structure:
```
YTl2AuBr6
1.0
0.000 5.555 5.555
5.555 0.000 5.555
5.555 5.555 0.000
Y Tl Au Br
1 2 1 6
Direct
0.000 0.000 0.000 Y
0.250 0.250 0.250 Tl
0.750 0.750 0.750 Tl
0.500 0.500 0.500 Au
0.249 0.249 0.751 Br
0.249 0.751 0.249 Br
0.249 0.751 0.751 Br
0.751 0.249 0.249 Br
0.751 0.249 0.751 Br
0.751 0.751 0.249 Br
```

Principal peaks in the range 10° ≤ 2θ ≤ 90°, by intensity:
two_theta	d [Å]	intensity
32.2	2.777	100.0
22.6	3.928	93.4
46.2	1.964	73.1
27.8	3.207	51.3
39.7	2.268	44.9
76.7	1.242	32.9
85.7	1.134	25.5
57.5	1.604	25.4
62.6	1.485	24.3
54.8	1.675	22.7
52.1	1.757	21.0
72.1	1.309	12.0